Entry 1:
Starting from a GGA-PBE-relaxed structure, the powder diffractogram of K5Na3Ta6Nb2O24 was simulated for Cu Kα X-rays.
Kinematic intensities with the Lorentz-polarization factor, no thermal factor.

Structure:
a = 8.0566 Å, b = 8.0140 Å, c = 8.0886 Å
α = 90.00°, β = 90.13°, γ = 90.00°
Element x y z (fractional)
1 K 0.0000 0.0000 0.0000
2 K 0.0003 0.0000 0.4990
3 K 0.9997 0.5000 0.0005
4 K 0.0004 0.5000 0.4987
5 K 0.4984 0.0000 0.4994
6 Na 0.5068 0.5000 0.4838
7 Na 0.5098 0.0000 0.9830
8 Na 0.5098 0.5000 0.9834
9 Ta 0.2537 0.2509 0.7451
10 Ta 0.2537 0.7491 0.7451
11 Ta 0.7502 0.2507 0.7460
12 Ta 0.7502 0.7493 0.7460
13 Ta 0.7520 0.2503 0.2449
14 Ta 0.7520 0.7497 0.2449
15 Nb 0.2569 0.2506 0.2428
16 Nb 0.2569 0.7494 0.2428
17 O 0.2445 0.5000 0.2577
18 O 0.2461 0.0000 0.2572
19 O 0.2484 0.0000 0.7589
20 O 0.2484 0.2524 0.5089
21 O 0.2484 0.7476 0.5089
22 O 0.2490 0.2499 0.0058
23 O 0.2492 0.5000 0.7610
24 O 0.2490 0.7501 0.0058
25 O 0.4954 0.2542 0.2574
26 O 0.4954 0.7458 0.2574
27 O 0.4957 0.2502 0.7603
28 O 0.4957 0.7498 0.7603
29 O 0.7387 0.0000 0.2537
30 O 0.7392 0.2504 0.0055
31 O 0.7390 0.5000 0.2551
32 O 0.7392 0.7496 0.0055
33 O 0.7397 0.5000 0.7584
34 O 0.7413 0.2530 0.5063
35 O 0.7413 0.7470 0.5063
36 O 0.7416 0.0000 0.7576
37 O 0.9916 0.2498 0.2545
38 O 0.9916 0.7502 0.2545
39 O 0.9943 0.2508 0.7562
40 O 0.9943 0.7492 0.7562

Peak list (10 most intense, 5° ≤ 2θ ≤ 70°, by intensity)
2.844 Å, 31.46°, rel. 100
4.036 Å, 22.02°, rel. 77
2.854 Å, 31.34°, rel. 50
4.007 Å, 22.19°, rel. 38
1.647 Å, 55.80°, rel. 20
1.644 Å, 55.92°, rel. 20
1.640 Å, 56.09°, rel. 20
2.022 Å, 44.82°, rel. 17
1.805 Å, 50.56°, rel. 17
2.014 Å, 45.01°, rel. 17



Entry 2:
Starting from a GGA-PBE-relaxed structure, the powder diffractogram of K5Na3Ta4Nb4O24 was simulated for Cu Kα X-rays.
Kinematic intensities with the Lorentz-polarization factor, no thermal factor.

Structure:
a = 8.0873 Å, b = 8.0873 Å, c = 8.0556 Å
α = 90.11°, β = 90.11°, γ = 89.84°
Element x y z (fractional)
1 K 0.9998 0.9998 0.9995
2 K 0.9996 0.9996 0.4991
3 K 0.5000 0.5000 0.0000
4 K 0.4997 0.9994 0.0000
5 K 0.9994 0.4997 0.0000
6 Na 0.4852 0.4852 0.5084
7 Na 0.4860 0.9859 0.5084
8 Na 0.9859 0.4860 0.5084
9 Ta 0.2455 0.7459 0.7511
10 Ta 0.2459 0.2459 0.2523
11 Ta 0.2476 0.2476 0.7489
12 Ta 0.7459 0.2455 0.7511
13 Nb 0.2439 0.7436 0.2555
14 Nb 0.7423 0.7423 0.2583
15 Nb 0.7436 0.2439 0.2555
16 Nb 0.7441 0.7441 0.7535
17 O 0.0063 0.2580 0.7415
18 O 0.0083 0.2588 0.2485
19 O 0.0081 0.7529 0.7403
20 O 0.0084 0.7556 0.2468
21 O 0.2565 0.2565 0.9945
22 O 0.2570 0.7543 0.9923
23 O 0.2580 0.0063 0.7415
24 O 0.2584 0.2584 0.4958
25 O 0.2577 0.5053 0.7393
26 O 0.2588 0.0083 0.2485
27 O 0.2590 0.5054 0.2499
28 O 0.2627 0.7580 0.4959
29 O 0.5053 0.2577 0.7393
30 O 0.5054 0.2590 0.2499
31 O 0.5054 0.7555 0.7393
32 O 0.5072 0.7576 0.2467
33 O 0.7529 0.0081 0.7403
34 O 0.7543 0.2570 0.9923
35 O 0.7556 0.0084 0.2468
36 O 0.7555 0.5054 0.7393
37 O 0.7563 0.7563 0.9923
38 O 0.7570 0.7570 0.4945
39 O 0.7580 0.2627 0.4959
40 O 0.7576 0.5072 0.2467

Peak list (10 most intense, 5° ≤ 2θ ≤ 70°, by intensity)
4.038 Å, 22.01°, rel. 100
2.858 Å, 31.30°, rel. 93
2.851 Å, 31.38°, rel. 46
2.022 Å, 44.83°, rel. 33
1.649 Å, 55.75°, rel. 32
1.805 Å, 50.56°, rel. 21
2.014 Å, 45.01°, rel. 16
1.428 Å, 65.35°, rel. 14
1.809 Å, 50.44°, rel. 14
8.076 Å, 10.96°, rel. 14



What is the formula in the second record?
K5Na3Ta4Nb4O24



What did the first record say?
Starting from a GGA-PBE-relaxed structure, the powder diffractogram of K5Na3Ta6Nb2O24 was simulated for Cu Kα X-rays.
Kinematic intensities with the Lorentz-polarization factor, no thermal factor.

Structure:
a = 8.0566 Å, b = 8.0140 Å, c = 8.0886 Å
α = 90.00°, β = 90.13°, γ = 90.00°
Element x y z (fractional)
1 K 0.0000 0.0000 0.0000
2 K 0.0003 0.0000 0.4990
3 K 0.9997 0.5000 0.0005
4 K 0.0004 0.5000 0.4987
5 K 0.4984 0.0000 0.4994
6 Na 0.5068 0.5000 0.4838
7 Na 0.5098 0.0000 0.9830
8 Na 0.5098 0.5000 0.9834
9 Ta 0.2537 0.2509 0.7451
10 Ta 0.2537 0.7491 0.7451
11 Ta 0.7502 0.2507 0.7460
12 Ta 0.7502 0.7493 0.7460
13 Ta 0.7520 0.2503 0.2449
14 Ta 0.7520 0.7497 0.2449
15 Nb 0.2569 0.2506 0.2428
16 Nb 0.2569 0.7494 0.2428
17 O 0.2445 0.5000 0.2577
18 O 0.2461 0.0000 0.2572
19 O 0.2484 0.0000 0.7589
20 O 0.2484 0.2524 0.5089
21 O 0.2484 0.7476 0.5089
22 O 0.2490 0.2499 0.0058
23 O 0.2492 0.5000 0.7610
24 O 0.2490 0.7501 0.0058
25 O 0.4954 0.2542 0.2574
26 O 0.4954 0.7458 0.2574
27 O 0.4957 0.2502 0.7603
28 O 0.4957 0.7498 0.7603
29 O 0.7387 0.0000 0.2537
30 O 0.7392 0.2504 0.0055
31 O 0.7390 0.5000 0.2551
32 O 0.7392 0.7496 0.0055
33 O 0.7397 0.5000 0.7584
34 O 0.7413 0.2530 0.5063
35 O 0.7413 0.7470 0.5063
36 O 0.7416 0.0000 0.7576
37 O 0.9916 0.2498 0.2545
38 O 0.9916 0.7502 0.2545
39 O 0.9943 0.2508 0.7562
40 O 0.9943 0.7492 0.7562

Peak list (10 most intense, 5° ≤ 2θ ≤ 70°, by intensity)
2.844 Å, 31.46°, rel. 100
4.036 Å, 22.02°, rel. 77
2.854 Å, 31.34°, rel. 50
4.007 Å, 22.19°, rel. 38
1.647 Å, 55.80°, rel. 20
1.644 Å, 55.92°, rel. 20
1.640 Å, 56.09°, rel. 20
2.022 Å, 44.82°, rel. 17
1.805 Å, 50.56°, rel. 17
2.014 Å, 45.01°, rel. 17